1.
This entry pairs a crystal structure of Ac2PuIn2Rh5 with its theoretical X-ray powder pattern. Radiation: Cu Ka. Structure: the PBE geometry in Alexandria.
Intensities are scaled so that the largest is 100.

Atomic structure:
```
Ac2PuIn2Rh5
1.0
10.7606 0.0000 0.0000
0.0000 10.7606 0.0000
0.0000 0.0000 3.7440
Ac Pu In Rh
4 2 4 10
Direct
0.1720 0.3280 0.0000 Ac
0.3280 0.8280 0.0000 Ac
0.6720 0.1720 0.0000 Ac
0.8280 0.6720 0.0000 Ac
0.0000 0.0000 0.0000 Pu
0.5000 0.5000 0.0000 Pu
0.1258 0.6258 0.0000 In
0.3742 0.1258 0.0000 In
0.6258 0.8742 0.0000 In
0.8742 0.3742 0.0000 In
0.0000 0.5000 0.5000 Rh
0.0594 0.8013 0.5000 Rh
0.1987 0.0594 0.5000 Rh
0.3013 0.5594 0.5000 Rh
0.4406 0.3013 0.5000 Rh
0.5000 0.0000 0.5000 Rh
0.5594 0.6987 0.5000 Rh
0.6987 0.4406 0.5000 Rh
0.8013 0.9406 0.5000 Rh
0.9406 0.1987 0.5000 Rh
```

Principal peaks in the range 2θ from 10° to 90°, in order of falling intensity:
- 2θ = 35.65°, I 100
- 2θ = 34.36°, I 35
- 2θ = 33.58°, I 24
- 2θ = 38.58°, I 20
- 2θ = 26.19°, I 17
- 2θ = 48.64°, I 17

=====

2.
This entry pairs a crystal structure of Ho2Si6Pt21 with its theoretical X-ray powder pattern. Radiation: Cu Ka. Structure: the PBE geometry in Alexandria.
Intensities are scaled so that the largest is 100.

Atomic structure:
```
Ho2Si6Pt21
1.0
0.0000 6.1519 6.1519
6.1519 0.0000 6.1519
6.1519 6.1519 0.0000
Ho Si Pt
2 6 21
Direct
0.2500 0.2500 0.2500 Ho
0.7500 0.7500 0.7500 Ho
0.2337 0.2337 0.7663 Si
0.2337 0.7663 0.2337 Si
0.2337 0.7663 0.7663 Si
0.7663 0.2337 0.2337 Si
0.7663 0.2337 0.7663 Si
0.7663 0.7663 0.2337 Si
0.1165 0.1165 0.1165 Pt
0.1165 0.1165 0.6505 Pt
0.1165 0.6505 0.1165 Pt
0.1549 0.5000 0.5000 Pt
0.1549 0.5000 0.8451 Pt
0.1549 0.8451 0.5000 Pt
0.3495 0.8835 0.8835 Pt
0.5000 0.1549 0.5000 Pt
0.5000 0.1549 0.8451 Pt
0.5000 0.5000 0.1549 Pt
0.5000 0.5000 0.5000 Pt
0.5000 0.5000 0.8451 Pt
0.5000 0.8451 0.1549 Pt
0.5000 0.8451 0.5000 Pt
0.6505 0.1165 0.1165 Pt
0.8451 0.1549 0.5000 Pt
0.8451 0.5000 0.1549 Pt
0.8451 0.5000 0.5000 Pt
0.8835 0.3495 0.8835 Pt
0.8835 0.8835 0.3495 Pt
0.8835 0.8835 0.8835 Pt
```

Principal peaks in the range 2θ from 10° to 90°, in order of falling intensity:
- 2θ = 38.00°, I 100
- 2θ = 43.52°, I 29
- 2θ = 64.24°, I 26
- 2θ = 35.75°, I 24
- 2θ = 41.52°, I 22
- 2θ = 32.55°, I 19

=====

3.
This entry pairs a crystal structure of Tb7Nd6Sm16 with its theoretical X-ray powder pattern. Radiation: Cu Ka. Structure: the PBE geometry in Alexandria.
Intensities are scaled so that the largest is 100.

Atomic structure:
```
Tb7Nd6Sm16
1.0
0.0000 8.0002 8.0002
8.0002 0.0000 8.0002
8.0002 8.0002 0.0000
Tb Nd Sm
7 6 16
Direct
0.0000 0.0000 0.0000 Tb
0.0000 0.0000 0.5000 Tb
0.0000 0.5000 0.0000 Tb
0.0000 0.5000 0.5000 Tb
0.5000 0.0000 0.0000 Tb
0.5000 0.0000 0.5000 Tb
0.5000 0.5000 0.0000 Tb
0.2725 0.2725 0.7275 Nd
0.2725 0.7275 0.2725 Nd
0.2725 0.7275 0.7275 Nd
0.7275 0.2725 0.2725 Nd
0.7275 0.2725 0.7275 Nd
0.7275 0.7275 0.2725 Nd
0.0461 0.6513 0.6513 Sm
0.1260 0.1260 0.1260 Sm
0.1260 0.1260 0.6221 Sm
0.1260 0.6221 0.1260 Sm
0.3487 0.3487 0.3487 Sm
0.3487 0.3487 0.9539 Sm
0.3487 0.9539 0.3487 Sm
0.3779 0.8740 0.8740 Sm
0.6221 0.1260 0.1260 Sm
0.6513 0.0461 0.6513 Sm
0.6513 0.6513 0.0461 Sm
0.6513 0.6513 0.6513 Sm
0.8740 0.3779 0.8740 Sm
0.8740 0.8740 0.3779 Sm
0.8740 0.8740 0.8740 Sm
0.9539 0.3487 0.3487 Sm
```

Principal peaks in the range 2θ from 10° to 90°, in order of falling intensity:
- 2θ = 31.63°, I 100
- 2θ = 56.34°, I 26
- 2θ = 45.34°, I 14
- 2θ = 29.00°, I 12
- 2θ = 66.06°, I 7
- 2θ = 75.10°, I 7

=====

4.
This entry pairs a crystal structure of Ac2HoHg2 with its theoretical X-ray powder pattern. Radiation: Cu Ka. Structure: the PBE geometry in Alexandria.
Intensities are scaled so that the largest is 100.

Atomic structure:
```
Ac2HoHg2
1.0
-2.0740 3.7688 5.4063
2.0740 -3.7688 5.4063
2.0740 3.7688 -5.4063
Ac Ho Hg
2 1 2
Direct
0.2097 0.2097 0.0000 Ac
0.7903 0.7903 0.0000 Ac
0.5000 0.0000 0.5000 Ho
0.2087 0.5000 0.7087 Hg
0.7913 0.5000 0.2913 Hg
```

Principal peaks in the range 2θ from 10° to 90°, in order of falling intensity:
- 2θ = 29.62°, I 100
- 2θ = 33.16°, I 96
- 2θ = 28.88°, I 41
- 2θ = 53.63°, I 40
- 2θ = 32.92°, I 26
- 2θ = 43.93°, I 23

=====

5.
This entry pairs a crystal structure of Co5Ni3 with its theoretical X-ray powder pattern. Radiation: Cu Ka. Structure: the PBE geometry in Alexandria.
Intensities are scaled so that the largest is 100.

Atomic structure:
```
Co5Ni3
1.0
-1.7703 1.7703 6.9586
1.7703 -1.7703 6.9586
1.7703 1.7703 -6.9586
Co Ni
5 3
Direct
0.0000 0.0000 0.0000 Co
0.2511 0.2511 0.0000 Co
0.6243 0.1243 0.5000 Co
0.7489 0.7489 0.0000 Co
0.8757 0.3757 0.5000 Co
0.1250 0.6250 0.5000 Ni
0.3750 0.8750 0.5000 Ni
0.5000 0.5000 0.0000 Ni
```

Principal peaks in the range 2θ from 10° to 90°, in order of falling intensity:
- 2θ = 44.59°, I 100
- 2θ = 51.63°, I 31
- 2θ = 76.82°, I 17
- 2θ = 52.61°, I 15
- 2θ = 76.03°, I 9

=====

6.
This entry pairs a crystal structure of SrLaF6 with its theoretical X-ray powder pattern. Radiation: Cu Ka. Structure: the PBE geometry in Alexandria.
Intensities are scaled so that the largest is 100.

Atomic structure:
```
SrLaF6
1.0
4.0308 0.0000 0.0000
0.0000 3.6179 3.9981
0.0000 -3.6179 3.9981
Sr La F
1 1 6
Direct
0.0000 0.0000 0.0000 Sr
0.5000 0.4725 0.4725 La
0.0000 0.2029 0.5449 F
0.0000 0.5449 0.2029 F
0.0000 0.6822 0.6822 F
0.5000 0.2753 0.8962 F
0.5000 0.7771 0.7771 F
0.5000 0.8962 0.2753 F
```

Principal peaks in the range 2θ from 10° to 90°, in order of falling intensity:
- 2θ = 27.68°, I 100
- 2θ = 42.54°, I 62
- 2θ = 45.26°, I 55
- 2θ = 22.23°, I 54
- 2θ = 24.61°, I 45
- 2θ = 33.40°, I 28